[1]
Starting from a cell relaxed with PBE, the powder diffraction line list of Y2Re3Si5 was simulated for Cu Kα X-rays.
Kinematic intensities with the Lorentz-polarization factor, no thermal factor.

Largest 10 diffraction maxima, sorted by position, 2θ from 15° to 90°:
17.86°, intensity 63, (1 0 1); 25.64°, intensity 100, (3 1 0); 29.19°, intensity 38, (3 0 1); 34.21°, intensity 44, (1 1 2); 36.58°, intensity 43, (4 2 0); 37.41°, intensity 66, (4 1 1); 39.83°, intensity 40, (2 2 2); 44.33°, intensity 44, (4 3 1); 46.44°, intensity 41, (4 0 2); 47.98°, intensity 43, (3 3 2)

Cell and atoms:
```
data_Y2Re3Si5
_chemical_formula_sum 'Y8 Re12 Si20'
_symmetry_space_group_name_H-M 'P 4/m n c'
_symmetry_Int_Tables_number 128
_symmetry_space_group_name_Hall '-P 4 2n'
_cell_length_a 10.9862
_cell_length_b 10.9862
_cell_length_c 5.5692
_cell_angle_alpha 90.00
_cell_angle_beta 90.00
_cell_angle_gamma 90.00
loop_
_atom_site_label
_atom_site_type_symbol
_atom_site_fract_x
_atom_site_fract_y
_atom_site_fract_z
Y1 Y 0.0768 0.2375 0.0000
Re1 Re 0.0000 0.5000 0.2500
Re2 Re 0.1247 0.8529 0.5000
Si1 Si 0.0000 0.0000 0.2474
Si2 Si 0.0267 0.3150 0.5000
Si3 Si 0.1731 0.6731 0.2500
```

[2]
Starting from a cell relaxed with PBE, the powder diffraction line list of ZrReSi2 was simulated for Cu Kα X-rays.
Kinematic intensities with the Lorentz-polarization factor, no thermal factor.

Largest 10 diffraction maxima, sorted by position, 2θ from 15° to 90°:
20.97°, intensity 32, (2 1 0); 21.95°, intensity 100, (0 0 2); 30.54°, intensity 51, (2 1 2); 37.53°, intensity 75, (3 1 2); 39.43°, intensity 36, (3 3 0); 39.64°, intensity 41, (4 1 0); 39.82°, intensity 82, (2 3 2); 42.18°, intensity 67, (0 4 2); 44.76°, intensity 42, (0 0 4); 67.06°, intensity 36, (6 2 2)

Cell and atoms:
```
data_ZrReSi2
_chemical_formula_sum 'Zr12 Re12 Si24'
_symmetry_space_group_name_H-M 'P b a m'
_symmetry_Int_Tables_number 55
_symmetry_space_group_name_Hall '-P 2 2ab'
_cell_length_a 9.3342
_cell_length_b 10.1007
_cell_length_c 8.0985
_cell_angle_alpha 90.00
_cell_angle_beta 90.00
_cell_angle_gamma 90.00
loop_
_atom_site_label
_atom_site_type_symbol
_atom_site_fract_x
_atom_site_fract_y
_atom_site_fract_z
Zr1 Zr 0.1686 0.1804 0.0000
Zr2 Zr 0.1732 0.4537 0.2486
Re1 Re 0.0000 0.0000 0.2441
Re2 Re 0.0855 0.7422 0.2500
Si1 Si 0.0276 0.6190 0.5000
Si2 Si 0.0342 0.6166 0.0000
Si3 Si 0.1252 0.9085 0.5000
Si4 Si 0.1319 0.8998 0.0000
Si5 Si 0.1670 0.1813 0.3543
```

[3]
Starting from a cell relaxed with PBE, the powder diffraction line list of ZrReSi was simulated for Cu Kα X-rays.
Kinematic intensities with the Lorentz-polarization factor, no thermal factor.

Largest 10 diffraction maxima, sorted by position, 2θ from 15° to 90°:
25.40°, intensity 33, (1 1 0); 29.82°, intensity 17, (1 0 1); 36.57°, intensity 100, (1 1 1); 39.24°, intensity 69, (2 1 0); 39.56°, intensity 40, (2 0 1); 44.76°, intensity 16, (3 0 0); 47.60°, intensity 29, (2 1 1); 67.40°, intensity 15, (4 0 1); 68.06°, intensity 27, (2 1 2); 73.29°, intensity 25, (3 2 1)

Cell and atoms:
```
data_ZrReSi
_chemical_formula_sum 'Zr3 Re3 Si3'
_symmetry_space_group_name_H-M 'P -6 2 m'
_symmetry_Int_Tables_number 189
_symmetry_space_group_name_Hall 'P -6 -2'
_cell_length_a 7.0133
_cell_length_b 7.0133
_cell_length_c 3.4442
_cell_angle_alpha 90.00
_cell_angle_beta 90.00
_cell_angle_gamma 120.00
loop_
_atom_site_label
_atom_site_type_symbol
_atom_site_fract_x
_atom_site_fract_y
_atom_site_fract_z
Zr1 Zr 0.0000 0.4050 0.0000
Re1 Re 0.0000 0.7460 0.5000
Si1 Si 0.0000 0.0000 0.0000
Si2 Si 0.3333 0.6667 0.5000
```

[4]
Starting from a cell relaxed with PBE, the powder diffraction line list of Ta3Re was simulated for Cu Kα X-rays.
Kinematic intensities with the Lorentz-polarization factor, no thermal factor.

Largest 4 diffraction maxima, sorted by position, 2θ from 15° to 90°:
39.15°, intensity 100, (2 2 0); 56.56°, intensity 17, (4 0 0); 70.94°, intensity 35, (4 2 2); 84.15°, intensity 11, (4 4 0)

Cell and atoms:
```
data_Ta3Re
_chemical_formula_sum 'Ta12 Re4'
_symmetry_space_group_name_H-M 'F m -3 m'
_symmetry_Int_Tables_number 225
_symmetry_space_group_name_Hall '-F 4 2 3'
_cell_length_a 6.5082
_cell_length_b 6.5082
_cell_length_c 6.5082
_cell_angle_alpha 90.00
_cell_angle_beta 90.00
_cell_angle_gamma 90.00
loop_
_atom_site_label
_atom_site_type_symbol
_atom_site_fract_x
_atom_site_fract_y
_atom_site_fract_z
Ta1 Ta 0.0000 0.0000 0.0000
Ta2 Ta 0.2500 0.2500 0.2500
Re1 Re 0.0000 0.0000 0.5000
```